The following is a theoretical powder XRD pattern of YB5Rh7. It was derived from a cell relaxed with GGA-PBE, using copper Kα.
No peak broadening, texture or thermal motion is included.

Structure:
Unit cell a=6.1867 b=6.1867 c=6.1867 alpha=133.08 beta=95.64 gamma=102.63
Fractional coordinates of all 13 atoms:
Y: 0.0000 0.0000 0.0000
B: 0.0069 0.5651 0.0759
B: 0.0069 0.9310 0.4418
B: 0.4892 0.5651 0.5582
B: 0.4892 0.9310 0.9241
B: 0.7958 0.2958 0.5000
Rh: 0.1575 0.4520 0.7055
Rh: 0.2538 0.7538 0.5000
Rh: 0.3334 0.3334 0.0000
Rh: 0.4231 0.0888 0.3343
Rh: 0.6666 0.6666 0.0000
Rh: 0.7464 0.4520 0.2945
Rh: 0.7546 0.0888 0.6657

Top 12 peaks for 10 to 80 degrees two-theta, by angle:
- 30.43°, 2.938 Å, rel. 26.1
- 31.61°, 2.830 Å, rel. 23.4
- 34.40°, 2.607 Å, rel. 14.3
- 36.49°, 2.463 Å, rel. 100.0
- 37.25°, 2.414 Å, rel. 56.6
- 39.45°, 2.284 Å, rel. 40.3
- 43.57°, 2.077 Å, rel. 13.8
- 44.23°, 2.048 Å, rel. 24.8
- 45.31°, 2.001 Å, rel. 41.4
- 49.03°, 1.858 Å, rel. 28.2
- 52.56°, 1.741 Å, rel. 24.6
- 67.66°, 1.385 Å, rel. 12.7